For LiBiB2O5, a structure optimized by DFT (PBE) gives the calculated powder XRD pattern in this record (Cu Kα (weighted mean of Kα1 and Kα2)).

Main lines, sorted by position (10 to 80 degrees two-theta):
hkl  2theta  I/Imax
1 0 0  16.63  43.3
1 0 -1  19.44  83.0
0 1 1  23.43  100.0
0 0 2  23.58  35.9
1 1 0  26.29  63.5
1 1 1  29.54  85.8
1 1 -2  34.47  55.0
2 1 0  39.54  57.9

Cell and atoms:
Lattice parameters (Å, degrees): 5.3562 4.3929 7.5796 90.00 95.52 90.00
Space group P2_1 (No. 4)
One atom of each set of equivalent atoms:
Li1 0.1608 0.0000 0.1102 (multiplicity 2)
Bi1 0.1237 0.0282 0.7063 (multiplicity 2)
B1 0.3881 0.4676 0.9351 (multiplicity 2)
B2 0.4347 0.0065 0.4086 (multiplicity 2)
O1 0.1500 0.3424 0.9633 (multiplicity 2)
O2 0.1557 0.9672 0.3688 (multiplicity 2)
O3 0.4012 0.8026 0.9609 (multiplicity 2)
O4 0.4133 0.3993 0.7360 (multiplicity 2)
O5 0.4827 0.3416 0.4273 (multiplicity 2)